(1)
# RbVICl4
Computed PXRD pattern, λ = 1.5418 Å (Cu Kα). Input: a structure optimized by DFT (PBE).
Neutral-atom scattering factors, no anomalous dispersion.

Top 10 peaks for 2θ from 15° to 90°, sorted by position:
2theta, d [Å], intensity
19.87, 4.467, 31
20.02, 4.435, 100
20.55, 4.323, 23
23.37, 3.806, 53
25.93, 3.436, 38
28.08, 3.178, 51
30.78, 2.904, 28
32.49, 2.756, 37
34.30, 2.615, 33
39.12, 2.302, 22

Cell and atoms:
Cell lengths 9.5545, 9.5545, 8.5563 Å; angles 109.14, 109.14, 46.95 degrees
Fractional positions:
Rb (0.1706, 0.1706, 0.2378)
Rb (0.8294, 0.8294, 0.7622)
V (0.1550, 0.1550, 0.7296)
V (0.8450, 0.8450, 0.2704)
I (0.4703, 0.4703, 0.8315)
I (0.5297, 0.5297, 0.1685)
Cl (0.0508, 0.0508, 0.8222)
Cl (0.0813, 0.6078, 0.4266)
Cl (0.2690, 0.2690, 0.9548)
Cl (0.3922, 0.9187, 0.5734)
Cl (0.6078, 0.0813, 0.4266)
Cl (0.7310, 0.7310, 0.0452)
Cl (0.9187, 0.3922, 0.5734)
Cl (0.9492, 0.9492, 0.1778)

***

(2)
# Nd2Dy2YTh2
Computed PXRD pattern, λ = 1.5418 Å (Cu Kα). Input: a structure optimized by DFT (PBE).
Neutral-atom scattering factors, no anomalous dispersion.

Top 10 peaks for 2θ from 15° to 90°, sorted by position:
2theta, d [Å], intensity
27.03, 3.299, 33
30.26, 2.954, 21
30.58, 2.923, 100
31.20, 2.866, 47
34.50, 2.599, 24
34.84, 2.575, 22
35.15, 2.553, 29
36.83, 2.440, 18
52.37, 1.747, 17
62.56, 1.485, 26

Cell and atoms:
Cell lengths 11.6875, 3.4469, 11.9641 Å; angles 90.00, 102.77, 90.00 degrees
Fractional positions:
Nd (0.2055, 0.0000, 0.3615)
Nd (0.2945, 0.5000, 0.6385)
Nd (0.7055, 0.5000, 0.3615)
Nd (0.7945, 0.0000, 0.6385)
Dy (0.1524, 0.0000, 0.0683)
Dy (0.3476, 0.5000, 0.9317)
Dy (0.6524, 0.5000, 0.0683)
Dy (0.8476, 0.0000, 0.9317)
Y (0.0000, 0.5000, 0.5000)
Y (0.5000, 0.0000, 0.5000)
Th (0.0948, 0.0000, 0.7786)
Th (0.4052, 0.5000, 0.2214)
Th (0.5948, 0.5000, 0.7786)
Th (0.9052, 0.0000, 0.2214)

***

(3)
# Li5H12Rh3
Computed PXRD pattern, λ = 1.5418 Å (Cu Kα). Input: a structure optimized by DFT (PBE).
Neutral-atom scattering factors, no anomalous dispersion.

Top 10 peaks for 2θ from 15° to 90°, sorted by position:
2theta, d [Å], intensity
22.32, 3.983, 100
32.06, 2.792, 12
39.18, 2.300, 26
39.41, 2.286, 50
45.55, 1.991, 14
51.48, 1.775, 18
56.78, 1.621, 17
61.61, 1.505, 11
71.15, 1.325, 17
71.63, 1.317, 7

Cell and atoms:
Cell lengths 7.9658, 7.9658, 2.7921 Å; angles 90.00, 90.00, 120.00 degrees
Fractional positions:
Li (0.0000, 0.7155, 0.0000)
Li (0.2845, 0.2845, 0.0000)
Li (0.3333, 0.6667, 0.0000)
Li (0.6667, 0.3333, 0.0000)
Li (0.7155, 0.0000, 0.0000)
H (0.0000, 0.1895, 0.0000)
H (0.0000, 0.4623, 0.0000)
H (0.1895, 0.0000, 0.0000)
H (0.2023, 0.7566, 0.5000)
H (0.2434, 0.4458, 0.5000)
H (0.4458, 0.2434, 0.5000)
H (0.4623, 0.0000, 0.0000)
H (0.5377, 0.5377, 0.0000)
H (0.5542, 0.7977, 0.5000)
H (0.7566, 0.2023, 0.5000)
H (0.7977, 0.5542, 0.5000)
H (0.8105, 0.8105, 0.0000)
Rh (0.0000, 0.3278, 0.5000)
Rh (0.3278, 0.0000, 0.5000)
Rh (0.6722, 0.6722, 0.5000)

***

(4)
# NaGaHg4
Computed PXRD pattern, λ = 1.5418 Å (Cu Kα). Input: a structure optimized by DFT (PBE).
Neutral-atom scattering factors, no anomalous dispersion.

Top 10 peaks for 2θ from 15° to 90°, sorted by position:
2theta, d [Å], intensity
27.03, 3.299, 25
32.62, 2.745, 59
34.16, 2.625, 49
34.64, 2.590, 100
35.84, 2.506, 91
46.06, 1.971, 21
58.71, 1.573, 21
60.67, 1.526, 19
61.12, 1.516, 24
63.93, 1.456, 17

Cell and atoms:
Cell lengths 12.2323, 3.4357, 7.3315 Å; angles 90.00, 104.85, 90.00 degrees
Fractional positions:
Na (0.0000, 0.0000, 0.0000)
Na (0.5000, 0.5000, 0.0000)
Ga (0.0000, 0.0000, 0.5000)
Ga (0.5000, 0.5000, 0.5000)
Hg (0.1550, 0.5000, 0.3386)
Hg (0.1665, 0.5000, 0.8184)
Hg (0.3335, 0.0000, 0.1816)
Hg (0.3450, 0.0000, 0.6614)
Hg (0.6550, 0.0000, 0.3386)
Hg (0.6665, 0.0000, 0.8184)
Hg (0.8335, 0.5000, 0.1816)
Hg (0.8450, 0.5000, 0.6614)

***

(5)
# TlSn2SbAu
Computed PXRD pattern, λ = 1.5418 Å (Cu Kα). Input: a structure optimized by DFT (PBE).
Neutral-atom scattering factors, no anomalous dispersion.

Top 10 peaks for 2θ from 15° to 90°, sorted by position:
2theta, d [Å], intensity
16.11, 5.502, 65
23.94, 3.717, 60
28.99, 3.080, 85
32.55, 2.751, 95
33.06, 2.709, 81
36.98, 2.431, 100
40.80, 2.212, 82
42.86, 2.110, 53
47.08, 1.930, 61
53.13, 1.724, 48

Cell and atoms:
Cell lengths 4.4234, 5.5022, 6.8547 Å; angles 90.00, 90.00, 90.00 degrees
Fractional positions:
Tl (0.0000, 0.0000, 0.0000)
Sn (0.0000, 0.5000, 0.5247)
Sn (0.5000, 0.0000, 0.6410)
Sb (0.5000, 0.5000, 0.8378)
Au (0.0000, 0.0000, 0.4130)

***

(6)
# Ca2In3Au6
Computed PXRD pattern, λ = 1.5418 Å (Cu Kα). Input: a structure optimized by DFT (PBE).
Neutral-atom scattering factors, no anomalous dispersion.

Top 10 peaks for 2θ from 15° to 90°, sorted by position:
2theta, d [Å], intensity
22.61, 3.933, 97
32.31, 2.771, 100
34.14, 2.626, 29
34.46, 2.602, 60
34.79, 2.579, 88
37.00, 2.429, 49
37.83, 2.378, 29
41.61, 2.170, 74
44.09, 2.054, 31
46.16, 1.966, 41

Cell and atoms:
Cell lengths 8.3238, 8.3238, 3.9329 Å; angles 90.00, 90.00, 110.29 degrees
Fractional positions:
Ca (0.1987, 0.1987, 0.0000)
Ca (0.8013, 0.8013, 0.0000)
In (0.2679, 0.7321, 0.0000)
In (0.5000, 0.5000, 0.5000)
In (0.7321, 0.2679, 0.0000)
Au (0.1095, 0.8905, 0.5000)
Au (0.1446, 0.4540, 0.5000)
Au (0.4540, 0.1446, 0.5000)
Au (0.5460, 0.8554, 0.5000)
Au (0.8554, 0.5460, 0.5000)
Au (0.8905, 0.1095, 0.5000)